Entry 1:
Diffraction record for Sr2TbPaP4. The PXRD pattern is theoretical, not measured: it uses a crystal structure in Alexandria, relaxed with PBE and Cu Kα, 1.54184 Å.
Lines closer than 0.1° are merged.

Largest 10 diffraction maxima, low angle first, 10° ≤ 2θ ≤ 80°:
index  Position (°2θ)  Rel. int.
0 0 1  12.7  42.7
0 0 2  25.6  31.7
1 1 -1  26.1  57.8
2 0 0  26.3  28.4
1 1 1  30.1  100.0
2 0 -2  30.3  49.0
1 1 -3  42.8  36.2
3 1 -1  43.7  35.9
3 1 -3  51.3  21.5
2 2 -2  53.8  19.2

Structural model:
```
data_Sr2TbPaP4
_cell_length_a 7.1576
_cell_length_b 4.1789
_cell_length_c 7.3508
_cell_angle_alpha 90.00
_cell_angle_beta 108.94
_cell_angle_gamma 90.00
_space_group_name_H-M_alt 'P 1 2/m 1'
_space_group_IT_number 10
loop_
_space_group_symop_operation_xyz
'x,y,z'
'-x,-y,-z'
'-x,y,-z'
'x,-y,z'
loop_
_atom_site_label
_atom_site_type_symbol
_atom_site_fract_x
_atom_site_fract_y
_atom_site_fract_z
Sr1 Sr 0.0000 0.0000 0.0000
Sr2 Sr 0.5000 0.5000 0.0000
Tb1 Tb 0.0000 0.5000 0.5000
Pa1 Pa 0.5000 0.0000 0.5000
P1 P 0.2506 0.0000 0.7176
P2 P 0.2700 0.5000 0.2853
```

Entry 2:
Diffraction record for Ba3Bi6PbSe13. The PXRD pattern is theoretical, not measured: it uses a crystal structure in Alexandria, relaxed with PBE and Cu Kα, 1.54184 Å.
Lines closer than 0.1° are merged.

Largest 10 diffraction maxima, low angle first, 10° ≤ 2θ ≤ 80°:
index  Position (°2θ)  Rel. int.
1 0 -5  24.0  44.7
4 0 3  24.8  30.6
3 1 1  26.0  34.1
3 1 -2  27.3  31.1
1 0 -6  28.7  39.1
4 1 0  29.0  38.6
3 1 -3  29.2  45.6
4 1 1  29.4  100.0
1 1 6  35.6  31.1
0 2 0  41.8  63.0

Structural model:
```
data_Ba3Bi6PbSe13
_cell_length_a 17.5879
_cell_length_b 4.3228
_cell_length_c 18.9307
_cell_angle_alpha 90.00
_cell_angle_beta 90.62
_cell_angle_gamma 90.00
_space_group_name_H-M_alt 'P 1 21/m 1'
_space_group_IT_number 11
loop_
_space_group_symop_operation_xyz
'x,y,z'
'-x,-y,-z'
'-x,y+1/2,-z'
'x,-y+1/2,z'
loop_
_atom_site_label
_atom_site_type_symbol
_atom_site_fract_x
_atom_site_fract_y
_atom_site_fract_z
Ba1 Ba 0.0168 0.2500 0.3425
Ba2 Ba 0.2325 0.2500 0.1771
Ba3 Ba 0.2473 0.7500 0.7339
Bi1 Bi 0.0097 0.7500 0.1146
Bi2 Bi 0.1730 0.2500 0.5241
Bi3 Bi 0.1898 0.7500 0.9560
Bi4 Bi 0.3294 0.7500 0.3823
Bi5 Bi 0.3972 0.2500 0.9802
Bi6 Bi 0.4186 0.2500 0.5768
Pb1 Pb 0.4871 0.2500 0.2477
Se1 Se 0.0737 0.7500 0.4869
Se2 Se 0.0788 0.7500 0.8296
Se3 Se 0.1034 0.7500 0.2322
Se4 Se 0.1047 0.2500 0.0334
Se5 Se 0.1259 0.2500 0.6643
Se6 Se 0.2249 0.2500 0.3646
Se7 Se 0.2669 0.2500 0.8770
Se8 Se 0.3043 0.7500 0.5540
Se9 Se 0.3104 0.7500 0.0578
Se10 Se 0.3625 0.7500 0.2403
Se11 Se 0.3916 0.2500 0.7202
Se12 Se 0.4613 0.2500 0.4113
Se13 Se 0.4799 0.7500 0.9110
```

Entry 3:
Diffraction record for AcSm2InN4. The PXRD pattern is theoretical, not measured: it uses a crystal structure in Alexandria, relaxed with PBE and Cu Kα, 1.54184 Å.
Lines closer than 0.1° are merged.

Largest 10 diffraction maxima, low angle first, 10° ≤ 2θ ≤ 80°:
index  Position (°2θ)  Rel. int.
0 2 3  25.9  37.3
0 0 4  28.7  46.9
0 4 0  29.1  51.5
1 1 2  29.5  100.0
1 3 1  33.9  23.9
1 3 2  36.2  79.4
0 4 4  41.3  30.9
1 5 2  47.1  24.8
0 6 3  49.7  26.6
2 0 4  59.1  19.6

Structural model:
```
data_AcSm2InN4
_cell_length_a 3.6106
_cell_length_b 12.2613
_cell_length_c 12.4603
_cell_angle_alpha 90.00
_cell_angle_beta 90.00
_cell_angle_gamma 90.00
_space_group_name_H-M_alt 'C m c m'
_space_group_IT_number 63
_space_group_name_Hall '-C 2c 2'
loop_
_atom_site_label
_atom_site_type_symbol
_atom_site_fract_x
_atom_site_fract_y
_atom_site_fract_z
Ac1 Ac 0.0000 0.1123 0.2500
Sm1 Sm 0.0000 0.3701 0.0373
In1 In 0.0000 0.1519 0.7500
N1 N 0.0000 0.0000 0.0000
N2 N 0.0000 0.2660 0.6188
N3 N 0.0000 0.4534 0.2500
```

Entry 4:
Diffraction record for ZnPb2F6. The PXRD pattern is theoretical, not measured: it uses a crystal structure in Alexandria, relaxed with PBE and Cu Kα, 1.54184 Å.
Lines closer than 0.1° are merged.

Largest 10 diffraction maxima, low angle first, 10° ≤ 2θ ≤ 80°:
index  Position (°2θ)  Rel. int.
1 1 1  22.6  12.1
1 1 3  27.4  100.0
2 0 0  31.2  31.9
0 0 6  32.7  14.3
2 0 4  38.3  19.0
2 2 0  44.7  29.4
2 0 6  45.8  26.8
3 1 3  53.2  33.8
1 1 9  55.2  14.5
2 2 6  56.5  12.4

Structural model:
```
data_ZnPb2F6
_cell_length_a 5.7369
_cell_length_b 5.7369
_cell_length_c 16.4244
_cell_angle_alpha 90.00
_cell_angle_beta 90.00
_cell_angle_gamma 90.00
_space_group_name_H-M_alt 'P 42/n c m'
_space_group_IT_number 138
loop_
_space_group_symop_operation_xyz
'x,y,z'
'-x,-y,-z'
'-y+1/2,x,z+1/2'
'y+1/2,-x,-z+1/2'
'-x+1/2,-y+1/2,z'
'x+1/2,y+1/2,-z'
'y,-x+1/2,z+1/2'
'-y,x+1/2,-z+1/2'
'x+1/2,-y,-z+1/2'
'-x+1/2,y,z+1/2'
'-y,-x,-z'
'y,x,z'
'-x,y+1/2,-z+1/2'
'x,-y+1/2,z+1/2'
'y+1/2,x+1/2,-z'
'-y+1/2,-x+1/2,z'
loop_
_atom_site_label
_atom_site_type_symbol
_atom_site_fract_x
_atom_site_fract_y
_atom_site_fract_z
Zn1 Zn 0.0000 0.0000 0.0000
Pb1 Pb 0.0111 0.0111 0.3428
F1 F 0.0638 0.0638 0.8809
F2 F 0.2500 0.2500 0.0409
F3 F 0.2500 0.2500 0.2418
F4 F 0.2500 0.7500 0.0000
F5 F 0.2500 0.7500 0.2500
```